1.
This entry pairs a crystal structure of PrNd3Pb4 with its simulated X-ray powder pattern. Radiation: Cu Kα (weighted mean of Kα1 and Kα2). Structure: a cell relaxed with GGA-PBE.
Intensities are scaled so that the largest is 100.

Main lines, by angle (15 to 90 degrees two-theta):
2θ 31.4, I = 100
2θ 34.9, I = 38
2θ 39.2, I = 14
2θ 50.2, I = 14
2θ 53.5, I = 23
2θ 60.4, I = 32
2θ 65.5, I = 12
2θ 66.2, I = 12
2θ 82.3, I = 7
2θ 84.2, I = 6

Crystal structure
a b c (Å): 19.0665 5.1424 5.1433
angles (deg): 90.00 105.56 90.00
Space group C2/m (No. 12)
Symmetry-distinct sites (fractional):
Pr: 0.0000 0.0000 0.0000
Nd: 0.0000 0.5000 0.5000
Nd: 0.2501 0.0000 0.2501
Pb: 0.1254 0.0000 0.6253
Pb: 0.1254 0.5000 0.1252

=====

2.
This entry pairs a crystal structure of PaTl2ReO6 with its simulated X-ray powder pattern. Radiation: Cu Kα (weighted mean of Kα1 and Kα2). Structure: a cell relaxed with GGA-PBE.
Intensities are scaled so that the largest is 100.

Main lines, by angle (15 to 90 degrees two-theta):
2θ 30.0, I = 100
2θ 43.0, I = 26
2θ 53.3, I = 42
2θ 62.4, I = 17
2θ 70.8, I = 19
2θ 78.8, I = 6
2θ 86.5, I = 23

Crystal structure
a b c (Å): 8.4161 8.4161 8.4161
angles (deg): 90.00 90.00 90.00
Space group Fm-3m (No. 225)
Symmetry-distinct sites (fractional):
Pa: 0.0000 0.0000 0.0000
Tl: 0.2500 0.2500 0.2500
Re: 0.0000 0.0000 0.5000
O: 0.0000 0.0000 0.2642

=====

3.
This entry pairs a crystal structure of CeDyY3 with its simulated X-ray powder pattern. Radiation: Cu Kα (weighted mean of Kα1 and Kα2). Structure: a cell relaxed with GGA-PBE.
Intensities are scaled so that the largest is 100.

Main lines, by angle (15 to 90 degrees two-theta):
2θ 28.5, I = 29
2θ 31.5, I = 29
2θ 32.6, I = 19
2θ 32.7, I = 100
2θ 43.0, I = 10
2θ 50.5, I = 15
2θ 56.8, I = 12
2θ 56.9, I = 12
2θ 60.8, I = 17
2θ 61.5, I = 15

Crystal structure
a b c (Å): 3.6086 8.4742 11.1080
angles (deg): 106.52 99.34 90.01
Space group P-1 (No. 2)
Symmetry-distinct sites (fractional):
Ce: 0.1869 0.3822 0.3734
Dy: 0.3837 0.9810 0.7672
Y: 0.0165 0.2162 0.0338
Y: 0.2174 0.8161 0.4353
Y: 0.4158 0.4154 0.8322